1.
Theoretical X-ray diffraction stick pattern
Compound: Pu2BrF4
Radiation: Cu Kα, 1.54184 Å
Structure: DFT lattice parameters and positions (GGA-PBE)

Top 12 peaks for 2θ = 10–90°, in order of rising 2θ:
hkl 0 0 6, 2θ 21.9, intensity 35; hkl 0 1 2, 2θ 25.6, intensity 76; hkl 1 0 4, 2θ 28.6, intensity 100; hkl 0 1 5, 2θ 30.7, intensity 28; hkl 0 0 9, 2θ 33.1, intensity 17; hkl 0 1 8, 2θ 38.6, intensity 43; hkl 1 1 0, 2θ 43.1, intensity 58; hkl 1 1 6, 2θ 48.9, intensity 27; hkl 0 2 4, 2θ 52.6, intensity 20; hkl 1 0 13, 2θ 55.2, intensity 15; hkl 1 1 9, 2θ 55.5, intensity 23; hkl 2 1 4, 2θ 70.3, intensity 17

Crystal structure
Lattice parameters (Å, degrees): 4.1934 4.1934 24.3237 90.00 90.00 120.00
Space group R-3m (No. 166, hexagonal axes)
One atom of each set of equivalent atoms:
Pu (0.0000, 0.0000, 0.2376)
Br (0.0000, 0.0000, 0.0000)
F (0.0000, 0.0000, 0.1381)
F (0.0000, 0.0000, 0.4243)

2.
Theoretical X-ray diffraction stick pattern
Compound: Pu2Br3F
Radiation: Cu Kα, 1.54184 Å
Structure: DFT lattice parameters and positions (GGA-PBE)

Top 12 peaks for 2θ = 10–90°, in order of rising 2θ:
hkl 2 0 0, 2θ 11.5, intensity 100; hkl 2 0 -2, 2θ 14.2, intensity 28; hkl 1 1 1, 2θ 25.5, intensity 34; hkl 1 1 -2, 2θ 26.6, intensity 40; hkl 3 1 -2, 2θ 27.4, intensity 48; hkl 4 0 -4, 2θ 28.7, intensity 34; hkl 6 0 -4, 2θ 32.4, intensity 74; hkl 5 1 -1, 2θ 33.7, intensity 27; hkl 6 0 0, 2θ 35.1, intensity 34; hkl 5 1 -4, 2θ 37.5, intensity 27; hkl 3 1 2, 2θ 38.2, intensity 28; hkl 3 1 -5, 2θ 43.0, intensity 28

Crystal structure
Lattice parameters (Å, degrees): 18.629 4.034 12.554 90.00 124.60 90.00
Space group C2/m (No. 12)
One atom of each set of equivalent atoms:
Pu (0.170, 0.000, 0.005)
Pu (0.174, 0.500, 0.306)
Br (0.027, 0.500, 0.863)
Br (0.144, 0.000, 0.457)
Br (0.201, 0.000, 0.797)
F (0.151, 0.000, 0.186)

3.
Theoretical X-ray diffraction stick pattern
Compound: Rb2BrF7
Radiation: Cu Kα, 1.54184 Å
Structure: DFT lattice parameters and positions (GGA-PBE)

Top 12 peaks for 2θ = 10–90°, in order of rising 2θ:
hkl 3 1 -1, 2θ 23.2, intensity 99; hkl 0 0 2, 2θ 23.7, intensity 100; hkl 0 2 1, 2θ 29.4, intensity 89; hkl 0 2 2, 2θ 36.1, intensity 23; hkl 3 1 1, 2θ 37.1, intensity 25; hkl 6 0 -2, 2θ 38.4, intensity 29; hkl 6 0 -4, 2θ 39.5, intensity 33; hkl 0 2 3, 2θ 45.4, intensity 18; hkl 3 3 -2, 2θ 45.5, intensity 24; hkl 3 3 0, 2θ 48.4, intensity 20; hkl 0 0 4, 2θ 48.6, intensity 14; hkl 0 4 1, 2θ 56.7, intensity 15

Crystal structure
Lattice parameters (Å, degrees): 14.592 6.651 10.238 90.00 132.89 90.00
Space group C2/c (No. 15)
One atom of each set of equivalent atoms:
Rb (0.154, 0.162, 0.241)
Br (0.000, 0.303, 0.750)
F (0.000, 0.401, 0.250)
F (0.076, 0.047, 0.910)
F (0.101, 0.310, 0.694)
F (0.149, 0.388, 0.995)

4.
Theoretical X-ray diffraction stick pattern
Compound: RbBrF4
Radiation: Cu Kα, 1.54184 Å
Structure: DFT lattice parameters and positions (GGA-PBE)

Top 12 peaks for 2θ = 10–90°, in order of rising 2θ:
hkl 2 0 -1, 2θ 17.6, intensity 100; hkl 0 2 1, 2θ 25.0, intensity 70; hkl 1 3 0, 2θ 29.4, intensity 14; hkl 2 2 0, 2θ 30.7, intensity 51; hkl 2 2 -2, 2θ 30.8, intensity 51; hkl 0 4 0, 2θ 35.6, intensity 35; hkl 2 0 1, 2θ 40.0, intensity 41; hkl 4 2 -1, 2θ 44.0, intensity 22; hkl 4 2 -3, 2θ 44.1, intensity 22; hkl 0 6 1, 2θ 57.8, intensity 19; hkl 2 6 0, 2θ 60.9, intensity 14; hkl 2 2 -4, 2θ 61.0, intensity 20

Crystal structure
Lattice parameters (Å, degrees): 10.057 10.090 7.106 90.00 134.76 90.00
Space group C2/m (No. 12)
One atom of each set of equivalent atoms:
Rb (0.250, 0.250, 0.000)
Br (0.000, 0.000, 0.500)
Br (0.000, 0.500, 0.500)
F (0.011, 0.000, 0.783)
F (0.129, 0.359, 0.498)
F (0.229, 0.500, 0.217)

5.
Theoretical X-ray diffraction stick pattern
Compound: Rb3Br3F
Radiation: Cu Kα, 1.54184 Å
Structure: DFT lattice parameters and positions (GGA-PBE)

Top 12 peaks for 2θ = 10–90°, in order of rising 2θ:
hkl 1 3 1, 2θ 25.2, intensity 100; hkl 2 0 -2, 2θ 25.8, intensity 17; hkl 2 2 -2, 2θ 28.8, intensity 20; hkl 3 1 -1, 2θ 29.2, intensity 15; hkl 3 1 0, 2θ 29.7, intensity 10; hkl 2 0 2, 2θ 33.0, intensity 17; hkl 1 1 -3, 2θ 33.4, intensity 17; hkl 3 3 -1, 2θ 34.5, intensity 15; hkl 0 6 0, 2θ 38.8, intensity 19; hkl 2 6 -2, 2θ 47.2, intensity 8; hkl 0 2 4, 2θ 47.4, intensity 8; hkl 2 6 2, 2θ 51.8, intensity 9

Crystal structure
Lattice parameters (Å, degrees): 9.528 13.915 8.220 90.00 103.83 90.00
Space group C2/m (No. 12)
One atom of each set of equivalent atoms:
Rb (0.130, 0.000, 0.314)
Rb (0.242, 0.174, 0.754)
Br (0.000, 0.175, 0.000)
Br (0.000, 0.346, 0.500)
Br (0.018, 0.500, 0.860)
F (0.144, 0.000, 0.647)

6.
Theoretical X-ray diffraction stick pattern
Compound: Rb2Br2F7
Radiation: Cu Kα, 1.54184 Å
Structure: DFT lattice parameters and positions (GGA-PBE)

Top 12 peaks for 2θ = 10–90°, in order of rising 2θ:
hkl 1 1 -1, 2θ 22.8, intensity 49; hkl 1 1 1, 2θ 23.6, intensity 59; hkl 0 4 0, 2θ 23.9, intensity 100; hkl 1 2 -1, 2θ 25.1, intensity 88; hkl 0 1 2, 2θ 27.9, intensity 38; hkl 1 3 1, 2θ 29.1, intensity 28; hkl 0 3 2, 2θ 32.7, intensity 31; hkl 2 1 0, 2θ 36.6, intensity 23; hkl 1 5 1, 2θ 38.0, intensity 31; hkl 1 6 -1, 2θ 42.8, intensity 24; hkl 1 2 -3, 2θ 46.5, intensity 22; hkl 1 2 3, 2θ 47.6, intensity 31

Crystal structure
Lattice parameters (Å, degrees): 4.986 14.895 6.561 90.00 91.92 90.00
Space group P2_1 (No. 4)
One atom of each set of equivalent atoms:
Rb (0.126, 0.000, 0.097)
Rb (0.240, 0.240, 0.610)
Br (0.252, 0.746, 0.905)
Br (0.377, 0.483, 0.406)
F (0.080, 0.409, 0.320)
F (0.163, 0.187, 0.032)
F (0.250, 0.797, 0.179)
F (0.255, 0.699, 0.631)
F (0.314, 0.056, 0.507)
F (0.342, 0.439, 0.684)
F (0.401, 0.527, 0.130)

7.
Theoretical X-ray diffraction stick pattern
Compound: Rb4BrF3
Radiation: Cu Kα, 1.54184 Å
Structure: DFT lattice parameters and positions (GGA-PBE)

Top 12 peaks for 2θ = 10–90°, in order of rising 2θ:
hkl 1 0 1, 2θ 25.6, intensity 9; hkl 1 0 2, 2θ 27.6, intensity 100; hkl 0 1 3, 2θ 30.8, intensity 20; hkl 0 1 4, 2θ 34.9, intensity 49; hkl 1 1 0, 2θ 43.7, intensity 37; hkl 0 1 6, 2θ 44.6, intensity 10; hkl 1 0 7, 2θ 50.1, intensity 13; hkl 0 2 2, 2θ 52.5, intensity 16; hkl 1 1 5, 2θ 54.1, intensity 10; hkl 2 0 4, 2θ 57.1, intensity 11; hkl 2 1 2, 2θ 70.7, intensity 13; hkl 1 2 4, 2θ 74.6, intensity 10

Crystal structure
Lattice parameters (Å, degrees): 4.1410 4.1410 14.7818 90.00 90.00 120.00
Space group P-3m1 (No. 164)
One atom of each set of equivalent atoms:
Rb (0.3333, 0.6667, 0.3409)
Rb (0.3333, 0.6667, 0.8856)
Br (0.0000, 0.0000, 0.5000)
F (0.0000, 0.0000, 0.0000)
F (0.0000, 0.0000, 0.2288)

8.
Theoretical X-ray diffraction stick pattern
Compound: Rb7BrF5
Radiation: Cu Kα, 1.54184 Å
Structure: DFT lattice parameters and positions (GGA-PBE)

Top 12 peaks for 2θ = 10–90°, in order of rising 2θ:
hkl 2 0 7, 2θ 25.4, intensity 60; hkl 1 1 4, 2θ 25.7, intensity 86; hkl 4 0 0, 2θ 26.3, intensity 31; hkl 4 0 1, 2θ 26.5, intensity 41; hkl 1 1 -5, 2θ 27.4, intensity 62; hkl 3 1 3, 2θ 30.8, intensity 100; hkl 2 0 -9, 2θ 31.0, intensity 55; hkl 3 1 -4, 2θ 31.9, intensity 81; hkl 5 1 5, 2θ 42.9, intensity 34; hkl 0 2 0, 2θ 43.8, intensity 42; hkl 5 1 -6, 2θ 44.2, intensity 24; hkl 2 2 -9, 2θ 54.6, intensity 23

Crystal structure
Lattice parameters (Å, degrees): 13.572 4.132 28.714 90.00 90.03 90.00
Space group C2/m (No. 12)
One atom of each set of equivalent atoms:
Rb (0.085, 0.000, 0.250)
Rb (0.091, 0.500, 0.089)
Rb (0.091, 0.500, 0.411)
Rb (0.138, 0.000, 0.528)
Rb (0.138, 0.000, 0.971)
Rb (0.154, 0.500, 0.652)
Rb (0.154, 0.500, 0.848)
Br (0.197, 0.000, 0.750)
F (0.000, 0.500, 0.000)
F (0.000, 0.500, 0.500)
F (0.045, 0.000, 0.613)
F (0.045, 0.000, 0.887)
F (0.231, 0.000, 0.064)
F (0.231, 0.000, 0.436)

9.
Theoretical X-ray diffraction stick pattern
Compound: RbBrF4
Radiation: Cu Kα, 1.54184 Å
Structure: DFT lattice parameters and positions (GGA-PBE)

Top 12 peaks for 2θ = 10–90°, in order of rising 2θ:
hkl 1 0 1, 2θ 18.8, intensity 100; hkl 2 0 0, 2θ 26.0, intensity 12; hkl 2 1 1, 2θ 32.3, intensity 30; hkl 1 1 2, 2θ 33.2, intensity 39; hkl 2 2 0, 2θ 37.1, intensity 22; hkl 1 0 3, 2θ 43.9, intensity 10; hkl 3 2 1, 2θ 50.0, intensity 18; hkl 3 1 2, 2θ 50.6, intensity 16; hkl 2 1 3, 2θ 51.7, intensity 8; hkl 4 1 1, 2θ 57.2, intensity 8; hkl 3 3 2, 2θ 64.4, intensity 8; hkl 3 2 3, 2θ 65.3, intensity 8

Crystal structure
Lattice parameters (Å, degrees): 6.859 6.859 6.491 90.00 90.00 90.00
Space group I-4m2 (No. 119)
One atom of each set of equivalent atoms:
Rb (0.000, 0.000, 0.000)
Br (0.000, 0.500, 0.250)
F (0.200, 0.300, 0.250)

10.
Theoretical X-ray diffraction stick pattern
Compound: Rb3BrF12
Radiation: Cu Kα, 1.54184 Å
Structure: DFT lattice parameters and positions (GGA-PBE)

Top 12 peaks for 2θ = 10–90°, in order of rising 2θ:
hkl 0 0 1, 2θ 11.9, intensity 70; hkl 1 1 0, 2θ 12.2, intensity 97; hkl 2 0 -1, 2θ 19.4, intensity 20; hkl 0 2 1, 2θ 19.8, intensity 51; hkl 2 2 0, 2θ 24.5, intensity 100; hkl 1 1 -2, 2θ 24.7, intensity 44; hkl 3 1 -1, 2θ 28.8, intensity 25; hkl 2 2 1, 2θ 29.4, intensity 20; hkl 2 2 -2, 2θ 30.9, intensity 57; hkl 4 0 0, 2θ 37.9, intensity 49; hkl 0 4 2, 2θ 40.2, intensity 52; hkl 0 0 4, 2θ 49.0, intensity 19

Crystal structure
Lattice parameters (Å, degrees): 9.824 11.256 7.687 90.00 104.89 90.00
Space group C2/m (No. 12)
One atom of each set of equivalent atoms:
Rb (0.000, 0.000, 0.000)
Rb (0.250, 0.250, 0.500)
Br (0.000, 0.000, 0.500)
F (0.055, 0.437, 0.208)
F (0.066, 0.123, 0.677)
F (0.242, 0.088, 0.243)

11.
Theoretical X-ray diffraction stick pattern
Compound: Rb2ReBr2F4
Radiation: Cu Kα, 1.54184 Å
Structure: DFT lattice parameters and positions (GGA-PBE)

Top 12 peaks for 2θ = 10–90°, in order of rising 2θ:
hkl 1 0 1, 2θ 16.0, intensity 84; hkl 1 1 0, 2θ 17.8, intensity 37; hkl 2 0 0, 2θ 25.2, intensity 100; hkl 1 1 2, 2θ 26.8, intensity 38; hkl 1 0 3, 2θ 32.7, intensity 46; hkl 2 2 0, 2θ 36.0, intensity 62; hkl 0 0 4, 2θ 40.4, intensity 27; hkl 2 1 3, 2θ 41.7, intensity 35; hkl 2 0 4, 2θ 48.3, intensity 27; hkl 2 2 4, 2θ 55.2, intensity 31; hkl 3 2 3, 2θ 56.3, intensity 22; hkl 4 2 0, 2θ 58.5, intensity 26

Crystal structure
Lattice parameters (Å, degrees): 7.056 7.056 8.920 90.00 90.00 90.00
Space group I4/mmm (No. 139)
One atom of each set of equivalent atoms:
Rb (0.000, 0.500, 0.250)
Re (0.000, 0.000, 0.000)
Br (0.000, 0.000, 0.284)
F (0.199, 0.199, 0.000)

12.
Theoretical X-ray diffraction stick pattern
Compound: RbSbBrF3
Radiation: Cu Kα, 1.54184 Å
Structure: DFT lattice parameters and positions (GGA-PBE)

Top 12 peaks for 2θ = 10–90°, in order of rising 2θ:
hkl 0 1 -1, 2θ 13.0, intensity 26; hkl -1 1 1, 2θ 23.1, intensity 20; hkl 1 -1 1, 2θ 23.3, intensity 21; hkl 1 0 1, 2θ 25.6, intensity 100; hkl 1 -2 0, 2θ 27.5, intensity 22; hkl 1 -2 1, 2θ 27.7, intensity 22; hkl 1 1 -2, 2θ 27.8, intensity 44; hkl 0 1 -3, 2θ 29.7, intensity 63; hkl 0 2 1, 2θ 31.6, intensity 19; hkl 1 -3 0, 2θ 37.9, intensity 26; hkl 0 3 -3, 2θ 39.6, intensity 37; hkl 2 1 -1, 2θ 45.2, intensity 18

Crystal structure
Lattice parameters (Å, degrees): 4.602 7.793 9.121 110.10 98.67 103.67
Space group P-1 (No. 2)
One atom of each set of equivalent atoms:
Rb (0.019, 0.192, 0.355)
Sb (0.329, 0.661, 0.206)
Br (0.445, 0.274, 0.075)
F (0.217, 0.260, 0.704)
F (0.307, 0.621, 0.412)
F (0.401, 0.944, 0.313)